[1]
Simulated powder XRD pattern
Compound: Nd2SmGa3
Radiation: CuKα
Structure: a DFT-relaxed cell (PBE, Alexandria)

Most intense lines, 10° ≤ 2θ ≤ 90°, in order of rising 2θ:
2θ = 24.18°, intensity 13, (0 1 2); 2θ = 34.45°, intensity 100, (1 1 0); 2θ = 42.57°, intensity 3, (2 0 2); 2θ = 49.52°, intensity 18, (0 2 4); 2θ = 61.56°, intensity 9, (0 1 8); 2θ = 61.77°, intensity 27, (3 0 0); 2θ = 72.52°, intensity 6, (2 0 8); 2θ = 72.76°, intensity 6, (2 2 0); 2θ = 82.85°, intensity 8, (1 2 8); 2θ = 83.02°, intensity 8, (1 3 4)

Cell and atoms:
Cell lengths 5.1992, 5.1992, 12.7886 Å; angles 90.00, 90.00, 120.00 degrees
Space group P-3m1 (No. 164)
Unique sites:
Nd 0.0000 0.0000 0.0000 x1
Nd 0.0000 0.0000 0.5000 x1
Nd 0.3333 0.6667 0.1680 x2
Sm 0.3333 0.6667 0.6667 x2
Ga 0.0000 0.0000 0.2514 x2
Ga 0.3333 0.6667 0.4173 x2
Ga 0.3333 0.6667 0.9160 x2

---

[2]
Simulated powder XRD pattern
Compound: Rb3Pm3SbO8
Radiation: CuKα
Structure: a DFT-relaxed cell (PBE, Alexandria)

Most intense lines, 10° ≤ 2θ ≤ 90°, in order of rising 2θ:
2θ = 13.28°, intensity 53, (0 0 3); 2θ = 26.74°, intensity 42, (0 0 6); 2θ = 29.33°, intensity 14, (0 2 1); 2θ = 30.36°, intensity 77, (2 0 2); 2θ = 34.18°, intensity 100, (0 2 4); 2θ = 46.79°, intensity 34, (2 0 8); 2θ = 51.37°, intensity 31, (2 2 0); 2θ = 54.71°, intensity 21, (0 2 10); 2θ = 58.85°, intensity 29, (2 2 6); 2θ = 63.16°, intensity 16, (4 0 4)

Cell and atoms:
Cell lengths 7.1141, 7.1141, 20.0065 Å; angles 90.00, 90.00, 120.00 degrees
Space group R-3m (No. 166, hexagonal axes)
Unique sites:
Rb 0.0000 0.5000 0.0000 x9
Pm 0.0000 0.5000 0.5000 x9
Sb 0.0000 0.0000 0.5000 x3
O 0.0000 0.0000 0.2249 x6
O 0.0289 0.5144 0.2224 x18